(1)
Diffraction record for La2Pd5Au5. The powder diffraction line list is computed, not measured: it uses DFT lattice parameters and positions (GGA-PBE) and Cu Kα (weighted mean of Kα1 and Kα2).
No peak broadening, texture or thermal motion is included.

Top 6 peaks for 5 to 70 degrees two-theta, by angle:
- hkl 0 1 1, 2θ = 18.45°, d 4.809, rel. 239
- hkl 0 2 0, 2θ = 32.24°, d 2.777, rel. 303
- hkl 1 1 3, 2θ = 37.98°, d 2.369, rel. 1000
- hkl 2 0 0, 2θ = 39.68°, d 2.271, rel. 279
- hkl 1 2 2, 2θ = 42.54°, d 2.125, rel. 314
- hkl 1 3 3, 2θ = 61.33°, d 1.512, rel. 247

Crystal structure
Cell lengths 4.5424, 5.5531, 9.6180 Å; angles 90.00, 90.00, 90.00 degrees
Space group Pmmm (No. 47)
Unique sites:
La 0.0000 0.0000 0.0000 [1 per cell]
La 0.0000 0.5000 0.5000 [1 per cell]
Pd 0.5000 0.0000 0.5000 [1 per cell]
Pd 0.5000 0.2488 0.2511 [4 per cell]
Au 0.0000 0.0000 0.3327 [2 per cell]
Au 0.0000 0.5000 0.1721 [2 per cell]
Au 0.5000 0.5000 0.0000 [1 per cell]



(2)
Diffraction record for HoCd2RuO6. The powder diffraction line list is computed, not measured: it uses DFT lattice parameters and positions (GGA-PBE) and Cu Kα (weighted mean of Kα1 and Kα2).
No peak broadening, texture or thermal motion is included.

Top 6 peaks for 5 to 70 degrees two-theta, by angle:
- hkl 0 0 1, 2θ = 19.52°, d 4.547, rel. 229
- hkl 1 1 1, 2θ = 29.42°, d 3.036, rel. 1000
- hkl 2 0 0, 2θ = 31.00°, d 2.884, rel. 510
- hkl 2 2 0, 2θ = 44.42°, d 2.040, rel. 297
- hkl 1 1 2, 2θ = 45.68°, d 1.986, rel. 258
- hkl 3 1 1, 2θ = 54.17°, d 1.693, rel. 355

Crystal structure
Cell lengths 5.7689, 5.7689, 4.5471 Å; angles 90.00, 90.00, 90.00 degrees
Space group P4mm (No. 99)
Unique sites:
Ho 0.0000 0.0000 0.0000 [1 per cell]
Cd 0.0000 0.5000 0.3541 [2 per cell]
Ru 0.5000 0.5000 0.9759 [1 per cell]
O 0.0000 0.0000 0.5251 [1 per cell]
O 0.2713 0.2713 0.0965 [4 per cell]
O 0.5000 0.5000 0.5933 [1 per cell]



(3)
Diffraction record for CaTb2PuSe4. The powder diffraction line list is computed, not measured: it uses DFT lattice parameters and positions (GGA-PBE) and Cu Kα (weighted mean of Kα1 and Kα2).
No peak broadening, texture or thermal motion is included.

Top 6 peaks for 5 to 70 degrees two-theta, by angle:
- hkl 1 0 1, 2θ = 16.99°, d 5.220, rel. 159
- hkl 1 1 2, 2θ = 26.44°, d 3.371, rel. 226
- hkl 0 0 4, 2θ = 30.55°, d 2.926, rel. 450
- hkl 2 0 0, 2θ = 30.66°, d 2.916, rel. 892
- hkl 2 2 0, 2θ = 43.86°, d 2.064, rel. 1000
- hkl 2 2 4, 2θ = 54.44°, d 1.685, rel. 352

Crystal structure
Cell lengths 5.8319, 5.8319, 11.7031 Å; angles 90.00, 90.00, 90.00 degrees
Space group I-4m2 (No. 119)
Unique sites:
Ca 0.0000 0.0000 0.0000 [2 per cell]
Tb 0.0000 0.0000 0.5000 [2 per cell]
Tb 0.0000 0.5000 0.2500 [2 per cell]
Pu 0.0000 0.5000 0.7500 [2 per cell]
Se 0.0000 0.0000 0.2501 [4 per cell]
Se 0.0000 0.5000 0.0015 [4 per cell]



(4)
Diffraction record for K2BaNa5. The powder diffraction line list is computed, not measured: it uses DFT lattice parameters and positions (GGA-PBE) and Cu Kα (weighted mean of Kα1 and Kα2).
No peak broadening, texture or thermal motion is included.

Top 6 peaks for 5 to 70 degrees two-theta, by angle:
- hkl 1 0 1, 2θ = 15.14°, d 5.853, rel. 369
- hkl 1 0 3, 2θ = 19.27°, d 4.607, rel. 237
- hkl 1 1 4, 2θ = 26.71°, d 3.338, rel. 1000
- hkl 2 0 0, 2θ = 29.32°, d 3.046, rel. 395
- hkl 2 0 8, 2θ = 45.47°, d 1.995, rel. 253
- hkl 3 1 4, 2θ = 50.43°, d 1.810, rel. 318

Crystal structure
Cell lengths 6.0914, 6.0914, 21.1240 Å; angles 90.00, 90.00, 90.00 degrees
Space group I4/mmm (No. 139)
Unique sites:
K 0.0000 0.0000 0.2473 [4 per cell]
Ba 0.0000 0.0000 0.5000 [2 per cell]
Na 0.0000 0.0000 0.0000 [2 per cell]
Na 0.0000 0.5000 0.1182 [8 per cell]



(5)
Diffraction record for BaU4Rh3S12. The powder diffraction line list is computed, not measured: it uses DFT lattice parameters and positions (GGA-PBE) and Cu Kα (weighted mean of Kα1 and Kα2).
No peak broadening, texture or thermal motion is included.

Top 6 peaks for 5 to 70 degrees two-theta, by angle:
- hkl 2 0 0, 2θ = 18.32°, d 4.842, rel. 153
- hkl 2 2 0, 2θ = 26.02°, d 3.424, rel. 1000
- hkl 4 0 0, 2θ = 37.13°, d 2.421, rel. 251
- hkl 4 2 2, 2θ = 45.91°, d 1.977, rel. 600
- hkl 4 4 0, 2θ = 53.53°, d 1.712, rel. 148
- hkl 6 0 2, 2θ = 60.46°, d 1.531, rel. 228

Crystal structure
Cell lengths 9.6845, 9.6845, 9.6845 Å; angles 90.00, 90.00, 90.00 degrees
Space group Im-3 (No. 204)
Unique sites:
Ba 0.0000 0.0000 0.0000 [2 per cell]
U 0.2500 0.2500 0.2500 [8 per cell]
Rh 0.0000 0.0000 0.5000 [6 per cell]
S 0.0000 0.1595 0.3154 [24 per cell]



(6)
Diffraction record for Sr2Ga3Hg. The powder diffraction line list is computed, not measured: it uses DFT lattice parameters and positions (GGA-PBE) and Cu Kα (weighted mean of Kα1 and Kα2).
No peak broadening, texture or thermal motion is included.

Top 6 peaks for 5 to 70 degrees two-theta, by angle:
- hkl 1 0 0, 2θ = 20.40°, d 4.354, rel. 237
- hkl 1 0 2, 2θ = 30.23°, d 2.957, rel. 487
- hkl 1 1 1, 2θ = 30.38°, d 2.942, rel. 1000
- hkl 0 1 3, 2θ = 38.85°, d 2.318, rel. 556
- hkl 0 2 0, 2θ = 39.22°, d 2.297, rel. 274
- hkl 2 1 3, 2θ = 58.13°, d 1.587, rel. 339

Crystal structure
Cell lengths 4.3541, 4.5944, 8.0551 Å; angles 90.00, 90.00, 90.00 degrees
Space group Pmm2 (No. 25)
Unique sites:
Sr 0.0000 0.0000 0.0000 [1 per cell]
Sr 0.0000 0.5000 0.4918 [1 per cell]
Ga 0.5000 0.0000 0.3305 [1 per cell]
Ga 0.5000 0.0000 0.6506 [1 per cell]
Ga 0.5000 0.5000 0.1699 [1 per cell]
Hg 0.5000 0.5000 0.8293 [1 per cell]



(7)
Diffraction record for DyErGePt. The powder diffraction line list is computed, not measured: it uses DFT lattice parameters and positions (GGA-PBE) and Cu Kα (weighted mean of Kα1 and Kα2).
No peak broadening, texture or thermal motion is included.

Top 6 peaks for 5 to 70 degrees two-theta, by angle:
- hkl 1 1 1, 2θ = 32.20°, d 2.780, rel. 1000
- hkl 0 0 4, 2θ = 33.14°, d 2.703, rel. 300
- hkl 0 1 3, 2θ = 33.87°, d 2.647, rel. 258
- hkl 1 0 4, 2θ = 39.48°, d 2.283, rel. 230
- hkl 1 1 3, 2θ = 40.10°, d 2.248, rel. 633
- hkl 2 0 0, 2θ = 42.42°, d 2.131, rel. 263

Crystal structure
Cell lengths 4.2613, 3.9000, 10.8119 Å; angles 90.00, 90.00, 90.00 degrees
Space group Amm2 (No. 38)
Unique sites:
Dy 0.0000 0.0000 0.0000 [2 per cell]
Er 0.5000 0.0000 0.2796 [2 per cell]
Ge 0.0000 0.0000 0.7221 [2 per cell]
Pt 0.5000 0.0000 0.5550 [2 per cell]



(8)
Diffraction record for TaPd3. The powder diffraction line list is computed, not measured: it uses DFT lattice parameters and positions (GGA-PBE) and Cu Kα (weighted mean of Kα1 and Kα2).
No peak broadening, texture or thermal motion is included.

Top 6 peaks for 5 to 70 degrees two-theta, by angle:
- hkl 1 0 1, 2θ = 26.59°, d 3.352, rel. 59
- hkl 2 0 0, 2θ = 37.35°, d 2.408, rel. 236
- hkl 0 0 2, 2θ = 38.56°, d 2.335, rel. 287
- hkl 2 0 1, 2θ = 42.23°, d 2.140, rel. 1000
- hkl 2 0 2, 2θ = 54.77°, d 1.676, rel. 155
- hkl 2 2 0, 2θ = 67.36°, d 1.390, rel. 164

Crystal structure
Cell lengths 5.5606, 5.5606, 4.6692 Å; angles 90.00, 90.00, 120.00 degrees
Space group P6_3/mmc (No. 194)
Unique sites:
Ta 0.3333 0.6667 0.2500 [2 per cell]
Pd 0.1683 0.3366 0.7500 [6 per cell]